(1)
Starting from a DFT-relaxed cell (GGA-PBE, Alexandria), the PXRD pattern of CsK7 was calculated for Cu Kα (λ = 1.5418 Å).

Principal peaks in the range 2θ = 10–90°, by intensity:
- hkl 2 2 2, 22.84°, I = 100
- hkl 4 0 0, 26.43°, I = 51
- hkl 6 2 2, 44.56°, I = 45
- hkl 4 4 0, 37.73°, I = 37
- hkl 1 1 1, 11.36°, I = 20
- hkl 6 6 2, 59.77°, I = 17
- hkl 8 4 0, 61.49°, I = 16
- hkl 3 1 1, 21.85°, I = 14
- hkl 4 4 4, 46.65°, I = 13
- hkl 10 2 2, 72.88°, I = 12

Crystal structure
```
data_CsK7
_chemical_formula_sum 'Cs4 K28'
_space_group_name_H-M_alt 'F m -3 m'
_space_group_IT_number 225
_space_group_name_Hall '-F 4 2 3'
_cell_length_a 13.4882
_cell_length_b 13.4882
_cell_length_c 13.4882
_cell_angle_alpha 90.00
_cell_angle_beta 90.00
_cell_angle_gamma 90.00
loop_
_atom_site_label
_atom_site_type_symbol
_atom_site_fract_x
_atom_site_fract_y
_atom_site_fract_z
Cs1 Cs 0.0000 0.0000 0.0000
K1 K 0.0000 0.0000 0.5000
K2 K 0.0000 0.2500 0.2500
```

---

(2)
Starting from a DFT-relaxed cell (GGA-PBE, Alexandria), the PXRD pattern of Cs4K was calculated for Cu Kα (λ = 1.5418 Å).

Principal peaks in the range 2θ = 10–90°, by intensity:
- hkl 1 1 2, 19.95°, I = 100
- hkl 2 1 1, 21.17°, I = 63
- hkl 2 0 0, 17.57°, I = 50
- hkl 4 1 1, 37.57°, I = 30
- hkl 3 1 2, 32.14°, I = 26
- hkl 3 2 3, 40.01°, I = 24
- hkl 2 2 0, 24.94°, I = 22
- hkl 3 0 3, 35.64°, I = 18
- hkl 3 0 1, 27.64°, I = 18
- hkl 4 1 5, 55.07°, I = 14

Crystal structure
```
data_Cs4K
_chemical_formula_sum 'Cs8 K2'
_space_group_name_H-M_alt 'I -4 2 m'
_space_group_IT_number 121
_space_group_name_Hall 'I -4 2'
_cell_length_a 10.0971
_cell_length_b 10.0971
_cell_length_c 11.3862
_cell_angle_alpha 90.00
_cell_angle_beta 90.00
_cell_angle_gamma 90.00
loop_
_atom_site_label
_atom_site_type_symbol
_atom_site_fract_x
_atom_site_fract_y
_atom_site_fract_z
Cs1 Cs 0.2005 0.2005 0.3457
K1 K 0.0000 0.0000 0.0000
```

---

(3)
Starting from a DFT-relaxed cell (GGA-PBE, Alexandria), the PXRD pattern of Cs6K7 was calculated for Cu Kα (λ = 1.5418 Å).

Principal peaks in the range 2θ = 10–90°, by intensity:
- hkl 1 1 0, 19.56°, I = 100
- hkl 1 0 7, 21.81°, I = 84
- hkl 1 1 4, 22.30°, I = 63
- hkl 2 1 7, 35.61°, I = 46
- hkl 3 0 0, 34.22°, I = 29
- hkl 2 2 0, 39.72°, I = 28
- hkl 3 1 7, 45.77°, I = 22
- hkl 2 0 3, 24.02°, I = 22
- hkl 4 1 0, 53.42°, I = 19
- hkl 3 0 4, 35.93°, I = 18

Crystal structure
```
data_Cs6K7
_chemical_formula_sum 'Cs12 K14'
_space_group_name_H-M_alt 'P 63/m m c'
_space_group_IT_number 194
_space_group_name_Hall '-P 6c 2c'
_cell_length_a 9.0767
_cell_length_b 9.0767
_cell_length_c 33.3502
_cell_angle_alpha 90.00
_cell_angle_beta 90.00
_cell_angle_gamma 120.00
loop_
_atom_site_label
_atom_site_type_symbol
_atom_site_fract_x
_atom_site_fract_y
_atom_site_fract_z
Cs1 Cs 0.0000 0.0000 0.2500
Cs2 Cs 0.3333 0.6667 0.0229
Cs3 Cs 0.3333 0.6667 0.1770
Cs4 Cs 0.3333 0.6667 0.7500
K1 K 0.0000 0.0000 0.0000
K2 K 0.1676 0.3352 0.6131
```